Starting from a crystal structure in Alexandria, relaxed with GGA+U, the powder diffractogram of Li4V2SiGeO10 was calculated for CuKα.
No peak broadening, texture or thermal motion is included.

Most intense lines, 2θ from 10° to 90°, in order of rising 2θ:
2θ 19.4, d = 4.567 Å, intensity 78, hkl 1 0 0; 2θ 23.8, d = 3.740 Å, intensity 28, hkl 1 1 1; 2θ 27.4, d = 3.257 Å, intensity 100, hkl 0 2 2; 2θ 33.8, d = 2.652 Å, intensity 91, hkl 1 2 2; 2θ 39.1, d = 2.303 Å, intensity 15, hkl 0 0 4; 2θ 41.9, d = 2.155 Å, intensity 16, hkl 2 1 1; 2θ 44.0, d = 2.058 Å, intensity 13, hkl 1 4 0; 2θ 56.5, d = 1.629 Å, intensity 26, hkl 0 4 4; 2θ 56.8, d = 1.622 Å, intensity 25, hkl 2 0 4; 2θ 67.5, d = 1.388 Å, intensity 21, hkl 1 2 6

Cell and atoms:
```
Li4V2SiGeO10
1.0
4.567 0.000 0.000
0.000 9.217 0.000
0.000 0.000 9.208
Li V Si Ge O
8 4 2 2 20
direct
0.000 0.000 0.000
0.000 0.000 0.500
0.000 0.244 0.250
0.000 0.244 0.750
0.000 0.500 0.000
0.000 0.500 0.500
0.000 0.756 0.250
0.000 0.756 0.750
0.411 0.245 0.000
0.411 0.755 0.500
0.589 0.245 0.500
0.589 0.755 0.000
0.500 0.000 0.250
0.500 0.000 0.750
0.500 0.500 0.250
0.500 0.500 0.750
0.221 0.246 0.500
0.221 0.754 0.000
0.267 0.390 0.143
0.267 0.390 0.857
0.267 0.610 0.357
0.267 0.610 0.643
0.284 0.100 0.147
0.284 0.100 0.853
0.284 0.900 0.353
0.284 0.900 0.647
0.716 0.100 0.353
0.716 0.100 0.647
0.716 0.900 0.147
0.716 0.900 0.853
0.733 0.390 0.357
0.733 0.390 0.643
0.733 0.610 0.143
0.733 0.610 0.857
0.779 0.246 0.000
0.779 0.754 0.500
```